# Ce3ThTc3
Computed XRD peak list, Cu Kα X-rays. Input: the GGA-PBE geometry in Alexandria.
Lines closer than 0.1° are merged.

Main lines, sorted by position (15° ≤ 2θ ≤ 90°):
- 16.32 deg, 5.431 Å, intensity 21
- 26.56 deg, 3.356 Å, intensity 69
- 31.14 deg, 2.872 Å, intensity 81
- 32.80 deg, 2.731 Å, intensity 41
- 34.78 deg, 2.579 Å, intensity 100
- 40.85 deg, 2.209 Å, intensity 98
- 52.11 deg, 1.755 Å, intensity 17
- 54.70 deg, 1.678 Å, intensity 21
- 63.96 deg, 1.456 Å, intensity 18
- 68.14 deg, 1.376 Å, intensity 17

Structure:
Lattice parameters (Å, degrees): 8.9349 8.9349 15.2512 90.00 90.00 120.00
Space group R-3 (No. 148, hexagonal axes)
Inequivalent atoms, fractional coordinates:
1 Ce 0.0264 0.7455 0.1122 (multiplicity 18)
2 Th 0.0000 0.0000 0.3325 (multiplicity 6)
3 Tc 0.0216 0.6313 0.9317 (multiplicity 18)

***

# Ce5ThTc2
Computed XRD peak list, Cu Kα X-rays. Input: the GGA-PBE geometry in Alexandria.
Lines closer than 0.1° are merged.

Main lines, sorted by position (15° ≤ 2θ ≤ 90°):
- 28.85 deg, 3.094 Å, intensity 68
- 29.09 deg, 3.069 Å, intensity 51
- 29.70 deg, 3.008 Å, intensity 26
- 32.57 deg, 2.749 Å, intensity 100
- 34.18 deg, 2.623 Å, intensity 76
- 34.33 deg, 2.612 Å, intensity 24
- 34.80 deg, 2.578 Å, intensity 79
- 36.71 deg, 2.448 Å, intensity 46
- 46.63 deg, 1.948 Å, intensity 30
- 57.46 deg, 1.604 Å, intensity 28

Structure:
Lattice parameters (Å, degrees): 10.326 8.202 5.500 90.00 120.98 90.00
Space group C2/m (No. 12)
Inequivalent atoms, fractional coordinates:
1 Ce 0.000 0.000 0.000 (multiplicity 2)
2 Ce 0.160 0.187 0.657 (multiplicity 8)
3 Th 0.000 0.500 0.000 (multiplicity 2)
4 Tc 0.207 0.500 0.731 (multiplicity 4)

***

# Ce2Th3Tc2
Computed XRD peak list, Cu Kα X-rays. Input: the GGA-PBE geometry in Alexandria.
Lines closer than 0.1° are merged.

Main lines, sorted by position (15° ≤ 2θ ≤ 90°):
- 15.94 deg, 5.560 Å, intensity 27
- 30.14 deg, 2.965 Å, intensity 35
- 31.06 deg, 2.880 Å, intensity 78
- 31.29 deg, 2.859 Å, intensity 69
- 32.67 deg, 2.741 Å, intensity 100
- 34.73 deg, 2.583 Å, intensity 90
- 35.45 deg, 2.532 Å, intensity 44
- 37.79 deg, 2.381 Å, intensity 29
- 39.07 deg, 2.306 Å, intensity 27
- 47.42 deg, 1.917 Å, intensity 35

Structure:
Lattice parameters (Å, degrees): 11.862 3.835 8.694 90.00 109.38 90.00
Space group C2/m (No. 12)
Inequivalent atoms, fractional coordinates:
1 Ce 0.166 0.000 0.297 (multiplicity 4)
2 Th 0.000 0.500 0.500 (multiplicity 2)
3 Th 0.125 0.500 0.935 (multiplicity 4)
4 Tc 0.166 0.000 0.692 (multiplicity 4)

***

# Ce2ThTc9
Computed XRD peak list, Cu Kα X-rays. Input: the GGA-PBE geometry in Alexandria.
Lines closer than 0.1° are merged.

Main lines, sorted by position (15° ≤ 2θ ≤ 90°):
- 30.77 deg, 2.906 Å, intensity 52
- 32.02 deg, 2.795 Å, intensity 67
- 32.13 deg, 2.786 Å, intensity 35
- 34.41 deg, 2.606 Å, intensity 56
- 38.06 deg, 2.364 Å, intensity 100
- 38.16 deg, 2.358 Å, intensity 60
- 38.60 deg, 2.333 Å, intensity 85
- 40.37 deg, 2.234 Å, intensity 59
- 41.46 deg, 2.178 Å, intensity 78
- 42.62 deg, 2.121 Å, intensity 33

Structure:
Lattice parameters (Å, degrees): 5.240 5.245 9.381 95.48 102.61 115.79
Space group P-1 (No. 2)
Inequivalent atoms, fractional coordinates:
1 Ce 0.216 0.353 0.070 (multiplicity 2)
2 Th 0.500 0.500 0.500 (multiplicity 1)
3 Tc 0.146 0.095 0.740 (multiplicity 2)
4 Tc 0.164 0.588 0.753 (multiplicity 2)
5 Tc 0.195 0.812 0.506 (multiplicity 2)
6 Tc 0.335 0.911 0.247 (multiplicity 2)
7 Tc 0.500 0.000 0.000 (multiplicity 1)

***

# Ce4TlTc2
Computed XRD peak list, Cu Kα X-rays. Input: the GGA-PBE geometry in Alexandria.
Lines closer than 0.1° are merged.

Main lines, sorted by position (15° ≤ 2θ ≤ 90°):
- 30.08 deg, 2.970 Å, intensity 51
- 30.49 deg, 2.932 Å, intensity 100
- 30.85 deg, 2.898 Å, intensity 40
- 31.85 deg, 2.810 Å, intensity 96
- 32.53 deg, 2.753 Å, intensity 56
- 32.86 deg, 2.726 Å, intensity 55
- 33.84 deg, 2.649 Å, intensity 45
- 34.99 deg, 2.564 Å, intensity 30
- 38.30 deg, 2.350 Å, intensity 30
- 39.87 deg, 2.261 Å, intensity 31

Structure:
Lattice parameters (Å, degrees): 5.964 7.161 9.176 110.76 104.68 94.18
Space group P1 (No. 1)
Inequivalent atoms, fractional coordinates:
1 Ce 0.000 0.000 0.000 (multiplicity 1)
2 Ce 0.005 0.582 0.992 (multiplicity 1)
3 Ce 0.049 0.396 0.333 (multiplicity 1)
4 Ce 0.159 0.916 0.379 (multiplicity 1)
5 Ce 0.377 0.442 0.724 (multiplicity 1)
6 Ce 0.393 0.873 0.741 (multiplicity 1)
7 Ce 0.532 0.369 0.130 (multiplicity 1)
8 Ce 0.770 0.110 0.563 (multiplicity 1)
9 Tl 0.562 0.890 0.149 (multiplicity 1)
10 Tl 0.839 0.644 0.628 (multiplicity 1)
11 Tc 0.163 0.216 0.847 (multiplicity 1)
12 Tc 0.431 0.314 0.384 (multiplicity 1)
13 Tc 0.445 0.713 0.383 (multiplicity 1)
14 Tc 0.673 0.229 0.865 (multiplicity 1)

***

# CeYTmTc
Computed XRD peak list, Cu Kα X-rays. Input: the GGA-PBE geometry in Alexandria.
Lines closer than 0.1° are merged.

Main lines, sorted by position (15° ≤ 2θ ≤ 90°):
- 23.44 deg, 3.795 Å, intensity 19
- 29.76 deg, 3.002 Å, intensity 85
- 33.02 deg, 2.713 Å, intensity 100
- 40.33 deg, 2.236 Å, intensity 89
- 42.85 deg, 2.110 Å, intensity 38
- 50.92 deg, 1.793 Å, intensity 19
- 53.07 deg, 1.726 Å, intensity 26
- 60.28 deg, 1.535 Å, intensity 41
- 68.69 deg, 1.366 Å, intensity 28
- 73.29 deg, 1.292 Å, intensity 23

Structure:
Lattice parameters (Å, degrees): 4.4726 4.4726 19.0061 90.00 90.00 120.00
Space group R3m (No. 160, hexagonal axes)
Inequivalent atoms, fractional coordinates:
1 Ce 0.0000 0.0000 0.0000 (multiplicity 3)
2 Y 0.0000 0.0000 0.4473 (multiplicity 3)
3 Tm 0.0000 0.0000 0.2341 (multiplicity 3)
4 Tc 0.0000 0.0000 0.6531 (multiplicity 3)

***

# CeYTc
Computed XRD peak list, Cu Kα X-rays. Input: the GGA-PBE geometry in Alexandria.
Lines closer than 0.1° are merged.

Main lines, sorted by position (15° ≤ 2θ ≤ 90°):
- 26.98 deg, 3.304 Å, intensity 9
- 27.59 deg, 3.233 Å, intensity 9
- 33.46 deg, 2.678 Å, intensity 100
- 37.20 deg, 2.417 Å, intensity 53
- 43.90 deg, 2.062 Å, intensity 35
- 53.63 deg, 1.709 Å, intensity 18
- 64.71 deg, 1.441 Å, intensity 29
- 70.03 deg, 1.344 Å, intensity 15
- 71.73 deg, 1.316 Å, intensity 16
- 82.07 deg, 1.174 Å, intensity 10

Structure:
Lattice parameters (Å, degrees): 3.418 3.418 12.931 90.00 90.00 90.00
Space group I4mm (No. 107)
Inequivalent atoms, fractional coordinates:
1 Ce 0.000 0.000 0.000 (multiplicity 2)
2 Y 0.000 0.000 0.740 (multiplicity 2)
3 Tc 0.000 0.000 0.380 (multiplicity 2)

***

# Ce2Zn16Tc
Computed XRD peak list, Cu Kα X-rays. Input: the GGA-PBE geometry in Alexandria.
Lines closer than 0.1° are merged.

Main lines, sorted by position (15° ≤ 2θ ≤ 90°):
- 28.51 deg, 3.131 Å, intensity 22
- 32.92 deg, 2.721 Å, intensity 27
- 33.84 deg, 2.649 Å, intensity 48
- 35.95 deg, 2.498 Å, intensity 27
- 39.27 deg, 2.294 Å, intensity 84
- 40.02 deg, 2.253 Å, intensity 100
- 41.86 deg, 2.158 Å, intensity 34
- 42.19 deg, 2.142 Å, intensity 36
- 44.82 deg, 2.022 Å, intensity 51
- 71.19 deg, 1.324 Å, intensity 22

Structure:
Lattice parameters (Å, degrees): 9.1758 9.1758 12.8527 90.00 90.00 120.00
Space group R3m (No. 160, hexagonal axes)
Inequivalent atoms, fractional coordinates:
1 Ce 0.0000 0.0000 0.0000 (multiplicity 3)
2 Ce 0.0000 0.0000 0.3534 (multiplicity 3)
3 Zn 0.0000 0.0000 0.6031 (multiplicity 3)
4 Zn 0.9999 0.2872 0.6964 (multiplicity 18)
5 Zn 0.0087 0.5044 0.1941 (multiplicity 9)
6 Zn 0.0142 0.5071 0.8424 (multiplicity 9)
7 Zn 0.1726 0.3451 0.8747 (multiplicity 9)
8 Tc 0.0000 0.0000 0.8173 (multiplicity 3)

***

# Ce6ZnTc2
Computed XRD peak list, Cu Kα X-rays. Input: the GGA-PBE geometry in Alexandria.
Lines closer than 0.1° are merged.

Main lines, sorted by position (15° ≤ 2θ ≤ 90°):
- 29.72 deg, 3.006 Å, intensity 33
- 31.33 deg, 2.855 Å, intensity 37
- 32.46 deg, 2.758 Å, intensity 100
- 32.95 deg, 2.719 Å, intensity 61
- 34.02 deg, 2.635 Å, intensity 30
- 35.31 deg, 2.542 Å, intensity 44
- 35.65 deg, 2.519 Å, intensity 86
- 38.41 deg, 2.344 Å, intensity 30
- 42.88 deg, 2.109 Å, intensity 34
- 67.55 deg, 1.387 Å, intensity 31

Structure:
Lattice parameters (Å, degrees): 9.985 5.037 8.649 90.00 97.92 90.00
Space group C2/m (No. 12)
Inequivalent atoms, fractional coordinates:
1 Ce 0.045 0.000 0.356 (multiplicity 4)
2 Ce 0.113 0.500 0.675 (multiplicity 4)
3 Ce 0.191 0.500 0.106 (multiplicity 4)
4 Zn 0.000 0.000 0.000 (multiplicity 2)
5 Tc 0.225 0.500 0.381 (multiplicity 4)

***

# Ce2Te3
Computed XRD peak list, Cu Kα X-rays. Input: the GGA-PBE geometry in Alexandria.
Lines closer than 0.1° are merged.

Main lines, sorted by position (15° ≤ 2θ ≤ 90°):
- 31.22 deg, 2.865 Å, intensity 66
- 33.22 deg, 2.697 Å, intensity 100
- 44.73 deg, 2.026 Å, intensity 24
- 50.51 deg, 1.807 Å, intensity 5
- 56.84 deg, 1.620 Å, intensity 43
- 60.59 deg, 1.528 Å, intensity 12
- 65.11 deg, 1.433 Å, intensity 8
- 69.74 deg, 1.348 Å, intensity 8
- 73.98 deg, 1.281 Å, intensity 11
- 75.09 deg, 1.265 Å, intensity 9

Structure:
Lattice parameters (Å, degrees): 4.052 4.052 18.068 90.00 90.00 90.00
Space group I4/mmm (No. 139)
Inequivalent atoms, fractional coordinates:
1 Ce 0.000 0.000 0.115 (multiplicity 4)
2 Te 0.000 0.000 0.305 (multiplicity 4)
3 Te 0.000 0.000 0.500 (multiplicity 2)

***

# Ce4Te3
Computed XRD peak list, Cu Kα X-rays. Input: the GGA-PBE geometry in Alexandria.
Lines closer than 0.1° are merged.

Main lines, sorted by position (15° ≤ 2θ ≤ 90°):
- 32.98 deg, 2.716 Å, intensity 100
- 33.58 deg, 2.669 Å, intensity 99
- 47.78 deg, 1.904 Å, intensity 35
- 58.51 deg, 1.578 Å, intensity 17
- 59.66 deg, 1.550 Å, intensity 36
- 60.04 deg, 1.541 Å, intensity 19
- 69.18 deg, 1.358 Å, intensity 10
- 70.58 deg, 1.334 Å, intensity 12
- 79.13 deg, 1.210 Å, intensity 14
- 80.13 deg, 1.198 Å, intensity 15

Structure:
Lattice parameters (Å, degrees): 5.3377 5.3377 26.8529 90.00 90.00 120.00
Space group R-3m (No. 166, hexagonal axes)
Inequivalent atoms, fractional coordinates:
1 Ce 0.0000 0.0000 0.1227 (multiplicity 6)
2 Ce 0.0000 0.0000 0.3743 (multiplicity 6)
3 Te 0.0000 0.0000 0.0000 (multiplicity 3)
4 Te 0.0000 0.0000 0.2430 (multiplicity 6)

***

# Ce2Te5
Computed XRD peak list, Cu Kα X-rays. Input: the GGA-PBE geometry in Alexandria.
Lines closer than 0.1° are merged.

Main lines, sorted by position (15° ≤ 2θ ≤ 90°):
- 27.87 deg, 3.201 Å, intensity 33
- 28.45 deg, 3.137 Å, intensity 17
- 30.11 deg, 2.968 Å, intensity 100
- 33.71 deg, 2.659 Å, intensity 50
- 36.08 deg, 2.490 Å, intensity 26
- 36.22 deg, 2.480 Å, intensity 15
- 40.57 deg, 2.224 Å, intensity 57
- 49.94 deg, 1.826 Å, intensity 26
- 58.72 deg, 1.572 Å, intensity 19
- 67.40 deg, 1.389 Å, intensity 19

Structure:
Lattice parameters (Å, degrees): 4.447 44.819 4.448 90.00 90.00 90.00
Space group Cmcm (No. 63)
Inequivalent atoms, fractional coordinates:
1 Ce 0.000 0.101 0.250 (multiplicity 4)
2 Ce 0.000 0.306 0.250 (multiplicity 4)
3 Te 0.000 0.046 0.750 (multiplicity 4)
4 Te 0.000 0.175 0.250 (multiplicity 4)
5 Te 0.000 0.250 0.750 (multiplicity 4)
6 Te 0.000 0.379 0.250 (multiplicity 4)
7 Te 0.000 0.454 0.750 (multiplicity 4)

***

# Ce2Th2Te7
Computed XRD peak list, Cu Kα X-rays. Input: the GGA-PBE geometry in Alexandria.
Lines closer than 0.1° are merged.

Main lines, sorted by position (15° ≤ 2θ ≤ 90°):
- 20.40 deg, 4.354 Å, intensity 50
- 33.61 deg, 2.666 Å, intensity 100
- 39.63 deg, 2.274 Å, intensity 27
- 48.23 deg, 1.887 Å, intensity 12
- 52.92 deg, 1.730 Å, intensity 12
- 60.10 deg, 1.540 Å, intensity 36
- 64.13 deg, 1.452 Å, intensity 7
- 70.65 deg, 1.333 Å, intensity 11
- 74.38 deg, 1.275 Å, intensity 6
- 80.50 deg, 1.193 Å, intensity 11

Structure:
Lattice parameters (Å, degrees): 5.337 5.337 15.063 90.00 90.00 90.00
Space group P-4m2 (No. 115)
Inequivalent atoms, fractional coordinates:
1 Ce 0.000 0.500 0.137 (multiplicity 2)
2 Th 0.000 0.500 0.625 (multiplicity 2)
3 Te 0.000 0.000 0.244 (multiplicity 2)
4 Te 0.000 0.000 0.500 (multiplicity 1)
5 Te 0.500 0.500 0.000 (multiplicity 1)
6 Te 0.500 0.500 0.257 (multiplicity 2)
7 Te 0.500 0.500 0.500 (multiplicity 1)

***

# Ce2Th3Te8
Computed XRD peak list, Cu Kα X-rays. Input: the GGA-PBE geometry in Alexandria.
Lines closer than 0.1° are merged.

Main lines, sorted by position (15° ≤ 2θ ≤ 90°):
- 19.22 deg, 4.617 Å, intensity 10
- 20.05 deg, 4.429 Å, intensity 12
- 20.18 deg, 4.401 Å, intensity 11
- 32.99 deg, 2.715 Å, intensity 26
- 33.13 deg, 2.704 Å, intensity 100
- 33.31 deg, 2.690 Å, intensity 25
- 47.57 deg, 1.912 Å, intensity 27
- 59.02 deg, 1.565 Å, intensity 28
- 59.41 deg, 1.556 Å, intensity 18
- 69.52 deg, 1.352 Å, intensity 11

Structure:
Lattice parameters (Å, degrees): 10.758 15.309 5.430 90.00 90.00 90.00
Space group Cmmm (No. 65)
Inequivalent atoms, fractional coordinates:
1 Ce 0.000 0.237 0.000 (multiplicity 4)
2 Th 0.000 0.500 0.000 (multiplicity 2)
3 Th 0.238 0.000 0.500 (multiplicity 4)
4 Te 0.000 0.126 0.500 (multiplicity 4)
5 Te 0.000 0.382 0.500 (multiplicity 4)
6 Te 0.241 0.377 0.000 (multiplicity 8)